Entry 1:
Structure and calculated X-ray powder pattern of Sr5Zn2Sn (a crystal structure in Alexandria, relaxed with GGA-PBE; Cu Ka).

Principal peaks in the range 10° ≤ 2θ ≤ 90°, by angle:
d [Å], I/Imax, index
3.372, 21, 1 1 4
3.111, 100, 2 1 3
2.998, 29, 2 2 0
2.939, 84, 2 0 4
2.682, 57, 3 1 0
2.475, 18, 1 1 6
2.040, 29, 0 0 8
1.795, 24, 3 3 4
1.623, 18, 3 1 8
1.541, 38, 5 1 4

Cell and atoms:
Cell: 8.4805 8.4805 16.3136 Å, 90.00 90.00 90.00°
Space group I4/mcm (No. 140)
One atom of each set of equivalent atoms:
Sr1 0.0000 0.0000 0.0000 x4
Sr2 0.1783 0.3217 0.1435 x16
Zn1 0.1068 0.3932 0.5000 x8
Sn1 0.0000 0.0000 0.2500 x4

---

Entry 2:
Structure and calculated X-ray powder pattern of TbCuTeS (a crystal structure in Alexandria, relaxed with GGA-PBE; Cu Ka).

Principal peaks in the range 10° ≤ 2θ ≤ 90°, by angle:
d [Å], I/Imax, index
6.920, 41, 0 0 6
3.529, 27, 1 0 1
3.041, 100, 1 0 7
2.926, 43, 0 1 8
2.695, 26, 1 0 10
2.372, 38, 1 0 13
2.274, 28, 0 1 14
2.045, 63, 1 1 0
1.697, 18, 0 2 7
1.421, 20, 1 1 21

Cell and atoms:
Cell: 4.0902 4.0902 41.5193 Å, 90.00 90.00 120.00°
Space group R-3m (No. 166, hexagonal axes)
One atom of each set of equivalent atoms:
Tb1 0.0000 0.0000 0.0783 x6
Cu1 0.0000 0.0000 0.3121 x6
Te1 0.0000 0.0000 0.2119 x6
S1 0.0000 0.0000 0.3699 x6

---

Entry 3:
Structure and calculated X-ray powder pattern of La13Pr2 (a crystal structure in Alexandria, relaxed with GGA-PBE; Cu Ka).

Principal peaks in the range 10° ≤ 2θ ≤ 90°, by angle:
d [Å], I/Imax, index
2.970, 55, 1 1 -2
2.953, 100, -2 1 1
2.096, 9, 1 4 0
2.090, 18, 3 2 0
1.804, 6, 2 4 4
1.712, 12, 3 3 -1
1.709, 18, 3 -3 0
1.706, 10, 4 0 1
1.541, 19, 4 3 3
1.485, 7, 2 -4 2

Cell and atoms:
Cell: 6.9271 9.3439 9.3453 Å, 66.92 82.45 82.35°
Space group P-1 (No. 2)
One atom of each set of equivalent atoms:
La1 0.0000 0.0000 0.0000 x1
La2 0.1005 0.4353 0.7693 x2
La3 0.1965 0.1957 0.2058 x2
La4 0.3005 0.6297 0.9694 x2
La5 0.3035 0.9636 0.6387 x2
La6 0.3974 0.3987 0.4031 x2
La7 0.4990 0.1673 0.8351 x2
Pr1 0.1002 0.7662 0.4320 x2

---

Entry 4:
Structure and calculated X-ray powder pattern of TiCl3 (a crystal structure in Alexandria, relaxed with GGA-PBE; Cu Ka).

Principal peaks in the range 10° ≤ 2θ ≤ 90°, by angle:
d [Å], I/Imax, index
6.562, 100, 0 0 2
4.918, 13, 1 1 -1
4.873, 23, 1 1 1
2.764, 63, 1 3 -2
2.750, 45, 2 0 2
2.237, 38, 1 3 -4
2.218, 25, 2 0 4
1.791, 11, 2 0 -6
1.768, 21, 1 3 6
1.759, 21, 3 3 0

Cell and atoms:
Cell: 6.1023 10.5010 13.1259 Å, 90.00 90.88 90.00°
Space group C2/c (No. 15)
One atom of each set of equivalent atoms:
Ti1 0.0000 0.0154 0.2500 x4
Ti2 0.0000 0.3352 0.2500 x4
Cl1 0.1472 0.1753 0.1391 x8
Cl2 0.1730 0.1495 0.6445 x8
Cl3 0.1728 0.5002 0.1446 x8